(1)
The following is a calculated XRD peak list of VOs8. It was derived from a structure optimized by DFT (GGA-PBE), using Cu Kα.
Kinematic intensities with the Lorentz-polarization factor, no thermal factor.

Structure:
Lattice parameters (Å, degrees): 8.187 6.103 6.094 84.32 47.89 47.79
Sites, in units of the cell vectors:
V 0.000 0.000 0.000
Os 0.000 0.333 0.667
Os 0.000 0.667 0.333
Os 0.332 0.332 0.668
Os 0.332 0.668 0.332
Os 0.333 0.000 0.000
Os 0.667 0.000 0.000
Os 0.668 0.332 0.668
Os 0.668 0.668 0.332

Principal peaks in the range 2θ from 10° to 90°, by angle:
2θ (°), I (rel.)
40.57, 100
47.09, 33
47.39, 16
69.04, 21
82.97, 13
83.10, 13
83.48, 13
87.79, 12

---

(2)
The following is a calculated XRD peak list of CsAcIn6. It was derived from a structure optimized by DFT (GGA-PBE), using Cu Kα.
Kinematic intensities with the Lorentz-polarization factor, no thermal factor.

Structure:
Lattice parameters (Å, degrees): 5.073 7.304 7.133 90.00 90.00 90.00
Sites, in units of the cell vectors:
Cs 0.000 0.000 0.000
Ac 0.500 0.500 0.221
In 0.000 0.279 0.473
In 0.000 0.500 0.871
In 0.000 0.721 0.473
In 0.500 0.000 0.401
In 0.500 0.279 0.733
In 0.500 0.721 0.733

Principal peaks in the range 2θ from 10° to 90°, by angle:
2θ (°), I (rel.)
24.75, 28
27.44, 40
27.84, 19
30.64, 59
32.72, 100
33.06, 24
35.39, 38
45.35, 20